Entry 1:
Diffraction record for Hf2Ga3Co4. The PXRD pattern is calculated, not measured: it uses the GGA-PBE geometry in Alexandria and λ = 1.5418 Å (Cu Kα).

```
data_Hf2Ga3Co4
_cell_length_a 7.4381
_cell_length_b 4.3480
_cell_length_c 7.9778
_cell_angle_alpha 90.00
_cell_angle_beta 99.22
_cell_angle_gamma 90.00
_symmetry_space_group_name_H-M 'C 1 2/m 1'
_symmetry_Int_Tables_number 12
loop_
_symmetry_equiv_pos_as_xyz
'x,y,z'
'-x,-y,-z'
'-x,y,-z'
'x,-y,z'
'x+1/2,y+1/2,z'
'-x+1/2,-y+1/2,-z'
'-x+1/2,y+1/2,-z'
'x+1/2,-y+1/2,z'
loop_
_atom_site_label
_atom_site_fract_x
_atom_site_fract_y
_atom_site_fract_z
Hf1 0.1313 0.0000 0.2767
Ga1 0.0000 0.5000 0.5000
Ga2 0.2341 0.0000 0.9108
Co1 0.0494 0.5000 0.8237
Co2 0.1844 0.0000 0.6032
```

Peak list (10 most intense, 2θ = 10–90°, sorted by position)
(hkl)  2θ (°)  Rel. int.
0 0 2  22.58  22
1 1 1  27.21  18
2 0 1  28.42  19
1 1 -2  31.62  28
2 0 -3  38.85  37
0 2 0  41.54  56
3 1 0  42.36  100
1 1 3  43.71  93
2 2 -3  58.18  22
3 3 0  76.36  18


Entry 2:
Diffraction record for Ho3Ga7Co4. The PXRD pattern is calculated, not measured: it uses the GGA-PBE geometry in Alexandria and λ = 1.5418 Å (Cu Kα).

```
data_Ho3Ga7Co4
_cell_length_a 15.0510
_cell_length_b 4.1131
_cell_length_c 9.0974
_cell_angle_alpha 90.00
_cell_angle_beta 124.64
_cell_angle_gamma 90.00
_symmetry_space_group_name_H-M 'C 1 2/m 1'
_symmetry_Int_Tables_number 12
loop_
_symmetry_equiv_pos_as_xyz
'x,y,z'
'-x,-y,-z'
'-x,y,-z'
'x,-y,z'
'x+1/2,y+1/2,z'
'-x+1/2,-y+1/2,-z'
'-x+1/2,y+1/2,-z'
'x+1/2,-y+1/2,z'
loop_
_atom_site_label
_atom_site_fract_x
_atom_site_fract_y
_atom_site_fract_z
Ho1 0.0000 0.0000 0.0000
Ho2 0.1923 0.5000 0.7038
Ga1 0.0000 0.0000 0.5000
Ga2 0.0049 0.5000 0.2801
Ga3 0.1577 0.0000 0.4176
Ga4 0.1797 0.5000 0.0281
Co1 0.1127 0.0000 0.8310
Co2 0.1668 0.5000 0.2873
```

Peak list (10 most intense, 2θ = 10–90°, sorted by position)
(hkl)  2θ (°)  Rel. int.
1 1 -1  23.75  26
3 1 0  30.69  43
1 1 2  36.10  93
3 1 -3  36.85  61
5 1 -2  37.17  100
3 1 1  37.34  30
6 0 -3  37.59  31
4 0 -4  39.67  25
6 0 0  43.87  35
0 2 0  44.03  66